# NdDyCuAg
Computed powder diffraction line list, CuKα. Input: the GGA-PBE geometry in Alexandria.

Structure:
Unit cell a=5.1306 b=5.1306 c=5.1306 alpha=60.00 beta=60.00 gamma=60.00
Sites, in units of the cell vectors:
Nd: 0.0000 0.0000 0.0000
Dy: 0.5000 0.5000 0.5000
Cu: 0.2500 0.2500 0.2500
Ag: 0.7500 0.7500 0.7500

Largest 12 diffraction maxima, by angle, 10 to 90 degrees two-theta:
2θ/deg  d/Å  I (rel.)
21.21  4.189  2
24.54  3.628  8
34.98  2.565  100
41.27  2.188  1
43.19  2.095  2
50.30  1.814  18
56.74  1.622  4
62.73  1.481  36
73.89  1.283  11
79.21  1.209  2
84.44  1.147  15
89.62  1.094  1


# HfCu2Pd8
Computed powder diffraction line list, CuKα. Input: the GGA-PBE geometry in Alexandria.

Structure:
Unit cell a=6.5995 b=6.5995 c=4.1649 alpha=90.00 beta=90.00 gamma=105.40
Sites, in units of the cell vectors:
Hf: 0.0000 0.0000 0.0000
Cu: 0.3851 0.6149 0.5000
Cu: 0.6149 0.3851 0.5000
Pd: 0.0398 0.3079 0.5000
Pd: 0.2560 0.7440 0.0000
Pd: 0.3079 0.0398 0.5000
Pd: 0.3327 0.3327 0.0000
Pd: 0.6673 0.6673 0.0000
Pd: 0.6921 0.9602 0.5000
Pd: 0.7440 0.2560 0.0000
Pd: 0.9602 0.6921 0.5000

Largest 12 diffraction maxima, by angle, 10 to 90 degrees two-theta:
2θ/deg  d/Å  I (rel.)
31.00  2.885  24
40.63  2.221  100
41.11  2.196  97
42.63  2.121  46
43.46  2.082  42
55.72  1.650  13
62.51  1.486  32
73.20  1.293  12
76.35  1.247  18
77.83  1.227  14
78.15  1.223  13
84.83  1.143  22